Diffraction record for CaCd4Hg6. The powder X-ray diffraction pattern is theoretical, not measured: it uses a cell relaxed with PBE and a wavelength of 1.5418 Å.
Lines closer than 0.1° are merged.

Main lines, sorted by position (2θ from 10° to 90°):
11.6 deg, 7.658 Å, rel. 14.7, hkl 1 0 0
30.9 deg, 2.895 Å, rel. 23.1, hkl 2 1 0
31.6 deg, 2.836 Å, rel. 100.0, hkl 2 0 1
37.7 deg, 2.387 Å, rel. 37.0, hkl 2 1 1
40.8 deg, 2.211 Å, rel. 37.7, hkl 2 2 0
41.3 deg, 2.184 Å, rel. 14.2, hkl 3 0 1
42.9 deg, 2.110 Å, rel. 19.0, hkl 0 0 2
52.5 deg, 1.743 Å, rel. 15.0, hkl 4 0 1
60.7 deg, 1.526 Å, rel. 23.5, hkl 2 2 2
68.5 deg, 1.369 Å, rel. 17.0, hkl 2 4 1

Atomic structure:
abc: 8.843 8.843 4.219
angles: 90.00 90.00 120.00
Fractional coordinates of all 11 atoms:
Ca (0.000, 0.000, 0.000)
Cd (0.194, 0.774, 0.500)
Cd (0.226, 0.420, 0.500)
Cd (0.580, 0.806, 0.500)
Cd (0.667, 0.333, 0.000)
Hg (0.041, 0.502, 0.000)
Hg (0.343, 0.164, 0.500)
Hg (0.461, 0.959, 0.000)
Hg (0.498, 0.539, 0.000)
Hg (0.821, 0.657, 0.500)
Hg (0.836, 0.179, 0.500)